Simulated X-ray powder pattern of Al5O8 for copper Kα, from a cell relaxed with PBE.
Intensities are scaled so that the largest is 100.

Top 10 peaks for 5 to 70 degrees two-theta, by intensity:
d/Å, 2theta, Rel. int., hkl
2.136, 42.30, 100, 2 0 2
1.442, 64.63, 84, 2 0 5
3.294, 27.07, 84, 1 0 2
1.403, 66.64, 84, 2 2 0
2.378, 37.83, 73, 1 1 2
2.544, 35.27, 58, 1 0 3
1.885, 48.28, 56, 2 0 3
4.479, 19.82, 45, 0 0 2
2.346, 38.37, 45, 2 0 1
1.565, 59.03, 42, 2 1 3

Crystal structure
Cell: 5.6137 5.6137 8.9580 Å, 90.00 90.00 120.00°
Fractional coordinates of all 26 atoms:
Al1 0.1622 0.3245 0.0000
Al2 0.1622 0.8378 0.0000
Al3 0.3245 0.1622 0.5000
Al4 0.3333 0.6667 0.2804
Al5 0.3333 0.6667 0.6864
Al6 0.6667 0.3333 0.1864
Al7 0.6667 0.3333 0.7804
Al8 0.6755 0.8378 0.0000
Al9 0.8378 0.1622 0.5000
Al10 0.8378 0.6755 0.5000
O1 0.0000 0.0000 0.1031
O2 0.0000 0.0000 0.6031
O3 0.0256 0.5128 0.1311
O4 0.1705 0.3409 0.3906
O5 0.1705 0.8295 0.3906
O6 0.3333 0.6667 0.8901
O7 0.3409 0.1705 0.8906
O8 0.4872 0.5128 0.1311
O9 0.4872 0.9744 0.1311
O10 0.5128 0.0256 0.6311
O11 0.5128 0.4872 0.6311
O12 0.6591 0.8295 0.3906
O13 0.6667 0.3333 0.3901
O14 0.8295 0.1705 0.8906
O15 0.8295 0.6591 0.8906
O16 0.9744 0.4872 0.6311